# SrCoGe2O6
Calculated PXRD pattern, Cu Kα. Input: a DFT-relaxed cell (PBE+U, the Materials Project).
No peak broadening, texture or thermal motion is included.

Peak list (10 most intense, 5 to 70 degrees two-theta, in order of rising 2θ)
| h k l | 2θ (°) | Rel. int. |
| --- | --- | --- |
| 1 1 1 | 28.1 | 61 |
| 1 1 -3 | 28.3 | 74 |
| 0 1 2 | 28.9 | 18 |
| 1 0 -3 | 29.0 | 18 |
| 2 1 0 | 33.1 | 42 |
| 2 -2 2 | 33.6 | 100 |
| -3 1 1 | 33.7 | 40 |
| -2 2 2 | 35.9 | 18 |
| 1 3 -3 | 42.0 | 20 |
| 4 -1 2 | 58.1 | 22 |

Atomic structure:
```
data_SrCoGe2O6
_symmetry_space_group_name_H-M 'P 1'
_symmetry_Int_Tables_number 1
_cell_length_a 7.990
_cell_length_b 8.023
_cell_length_c 9.778
_cell_angle_alpha 109.14
_cell_angle_beta 103.33
_cell_angle_gamma 108.20
loop_
_symmetry_equiv_pos_as_xyz
'x,y,z'
loop_
_atom_site_label
_atom_site_type_symbol
_atom_site_fract_x
_atom_site_fract_y
_atom_site_fract_z
Sr1 Sr 0.000 0.000 0.000
Sr2 Sr 0.141 0.392 0.751
Sr3 Sr 0.502 0.001 0.499
Sr4 Sr 0.644 0.389 0.250
Co1 Co 0.036 0.784 0.249
Co2 Co 0.104 0.604 0.500
Co3 Co 0.537 0.787 0.750
Co4 Co 0.604 0.603 0.000
Ge1 Ge 0.273 0.512 0.196
Ge2 Ge 0.318 0.077 0.804
Ge3 Ge 0.323 0.314 0.444
Ge4 Ge 0.371 0.881 0.049
Ge5 Ge 0.769 0.509 0.697
Ge6 Ge 0.811 0.068 0.300
Ge7 Ge 0.832 0.321 0.950
Ge8 Ge 0.872 0.880 0.555
O1 O 0.065 0.032 0.742
O2 O 0.084 0.362 0.007
O3 O 0.156 0.789 0.070
O4 O 0.213 0.075 0.417
O5 O 0.218 0.672 0.332
O6 O 0.291 0.321 0.257
O7 O 0.295 0.501 0.578
O8 O 0.346 0.890 0.670
O9 O 0.355 0.076 0.993
O10 O 0.422 0.722 0.912
O11 O 0.426 0.316 0.829
O12 O 0.487 0.597 0.172
O13 O 0.560 0.027 0.240
O14 O 0.576 0.358 0.508
O15 O 0.658 0.795 0.581
O16 O 0.717 0.670 0.833
O17 O 0.720 0.085 0.928
O18 O 0.791 0.321 0.759
O19 O 0.810 0.508 0.087
O20 O 0.836 0.879 0.164
O21 O 0.850 0.067 0.490
O22 O 0.921 0.716 0.420
O23 O 0.925 0.303 0.322
O24 O 0.981 0.596 0.669
```